MnB2F8: theoretical PXRD pattern (a wavelength of 1.5418 Å), based on a DFT-relaxed cell (GGA+U, Alexandria).
Kinematic intensities with the Lorentz-polarization factor, no thermal factor.

Crystal structure
Lattice parameters (Å, degrees): 8.714 5.547 11.087 90.00 90.00 90.00
Fractional coordinates of all 44 atoms:
Mn1 0.247 0.250 0.102
Mn2 0.253 0.750 0.602
Mn3 0.747 0.250 0.398
Mn4 0.753 0.750 0.898
B1 0.005 0.750 0.155
B2 0.147 0.250 0.407
B3 0.353 0.750 0.907
B4 0.495 0.250 0.655
B5 0.505 0.750 0.345
B6 0.647 0.250 0.093
B7 0.853 0.750 0.593
B8 0.995 0.250 0.845
F1 0.005 0.750 0.640
F2 0.067 0.250 0.960
F3 0.098 0.250 0.752
F4 0.103 0.542 0.162
F5 0.103 0.958 0.162
F6 0.167 0.041 0.479
F7 0.167 0.459 0.479
F8 0.245 0.750 0.812
F9 0.255 0.250 0.312
F10 0.333 0.541 0.979
F11 0.333 0.959 0.979
F12 0.397 0.042 0.662
F13 0.397 0.458 0.662
F14 0.402 0.750 0.252
F15 0.433 0.750 0.460
F16 0.495 0.250 0.140
F17 0.505 0.750 0.860
F18 0.567 0.250 0.540
F19 0.598 0.250 0.748
F20 0.603 0.542 0.338
F21 0.603 0.958 0.338
F22 0.667 0.041 0.021
F23 0.667 0.459 0.021
F24 0.745 0.750 0.688
F25 0.755 0.250 0.188
F26 0.833 0.541 0.521
F27 0.833 0.959 0.521
F28 0.897 0.042 0.838
F29 0.897 0.458 0.838
F30 0.902 0.750 0.248
F31 0.933 0.750 0.040
F32 0.995 0.250 0.360

Main lines, sorted by position (10 to 90 degrees two-theta):
| 2θ (°) | d_spacing | I (rel.) | h k l |
| --- | --- | --- | --- |
| 17.88 | 4.961 | 43 | 0 1 1 |
| 18.97 | 4.677 | 62 | 1 0 2 |
| 20.60 | 4.311 | 43 | 1 1 1 |
| 24.90 | 3.576 | 94 | 1 1 2 |
| 27.24 | 3.274 | 100 | 2 1 1 |
| 29.03 | 3.076 | 62 | 0 1 3 |
| 39.40 | 2.287 | 48 | 3 0 3 |
| 45.24 | 2.004 | 68 | 3 0 4 |